For Li4Fe3Co3W2O16, a structure optimized by DFT (GGA+U) gives the simulated X-ray powder pattern in this record (Cu Ka).
Intensities are scaled so that the largest is 100.

Largest 6 diffraction maxima, by intensity, 5 to 70 degrees two-theta:
- d = 4.581 Å, I 100
- d = 4.544 Å, I 63
- d = 4.513 Å, I 34
- d = 2.545 Å, I 30
- d = 2.520 Å, I 30
- d = 2.557 Å, I 29

Cell and atoms:
```
data_Li4Fe3Co3W2O16
_symmetry_space_group_name_H-M 'P 1'
_symmetry_Int_Tables_number 1
_cell_length_a 5.9383
_cell_length_b 5.9405
_cell_length_c 9.7882
_cell_angle_alpha 89.11
_cell_angle_beta 89.03
_cell_angle_gamma 60.24
loop_
_symmetry_equiv_pos_as_xyz
'x,y,z'
loop_
_atom_site_label
_atom_site_type_symbol
_atom_site_fract_x
_atom_site_fract_y
_atom_site_fract_z
Li1 Li 0.0000 0.0000 0.0000
Li2 Li 0.0007 0.9940 0.4966
Li3 Li 0.3242 0.3186 0.0775
Li4 Li 0.6613 0.6596 0.5751
Fe1 Fe 0.1641 0.6515 0.7716
Fe2 Fe 0.6551 0.1600 0.7701
Fe3 Fe 0.8223 0.8268 0.2664
Co1 Co 0.1675 0.1650 0.7719
Co2 Co 0.3377 0.8218 0.2743
Co3 Co 0.8198 0.3372 0.2730
W1 W 0.3265 0.3300 0.4983
W2 W 0.6530 0.6537 0.0007
O1 O 0.0350 0.4888 0.6313
O2 O 0.1724 0.1725 0.4046
O3 O 0.1752 0.6529 0.3943
O4 O 0.3355 0.3300 0.8772
O5 O 0.3432 0.8160 0.8983
O6 O 0.4799 0.4753 0.6385
O7 O 0.4904 0.0330 0.6302
O8 O 0.5167 0.5002 0.1279
O9 O 0.5189 0.9504 0.1363
O10 O 0.6594 0.1712 0.3932
O11 O 0.6657 0.6514 0.3706
O12 O 0.8236 0.3408 0.8976
O13 O 0.8285 0.8199 0.9003
O14 O 0.9544 0.5091 0.1422
O15 O 0.9968 0.9922 0.6846
O16 O 0.9987 0.0051 0.1889
```

For MgFe3Co5O16, a structure optimized by DFT (GGA+U) gives the simulated X-ray powder pattern in this record (Cu Ka).
Intensities are scaled so that the largest is 100.

Largest 6 diffraction maxima, by intensity, 5 to 70 degrees two-theta:
- d = 4.564 Å, I 100
- d = 4.366 Å, I 98
- d = 4.401 Å, I 97
- d = 4.472 Å, I 61
- d = 2.435 Å, I 59
- d = 1.457 Å, I 53

Cell and atoms:
```
data_MgFe3Co5O16
_symmetry_space_group_name_H-M 'P 1'
_symmetry_Int_Tables_number 1
_cell_length_a 5.7462
_cell_length_b 5.8257
_cell_length_c 9.1310
_cell_angle_alpha 88.92
_cell_angle_beta 89.93
_cell_angle_gamma 60.51
loop_
_symmetry_equiv_pos_as_xyz
'x,y,z'
loop_
_atom_site_label
_atom_site_type_symbol
_atom_site_fract_x
_atom_site_fract_y
_atom_site_fract_z
Mg1 Mg 0.0000 0.0000 0.0000
Fe1 Fe 0.1412 0.2161 0.7035
Fe2 Fe 0.6323 0.2107 0.7018
Fe3 Fe 0.8114 0.3649 0.2318
Co1 Co 0.1458 0.6994 0.7068
Co2 Co 0.3093 0.3693 0.9893
Co3 Co 0.3233 0.8573 0.2404
Co4 Co 0.6459 0.7042 0.4974
Co5 Co 0.8096 0.8580 0.2386
O1 O 0.0193 0.5393 0.8513
O2 O 0.1474 0.1917 0.1100
O3 O 0.1531 0.6873 0.1238
O4 O 0.2920 0.3917 0.5987
O5 O 0.3279 0.8531 0.6099
O6 O 0.4340 0.0981 0.8506
O7 O 0.4345 0.5299 0.8499
O8 O 0.4886 0.5736 0.3645
O9 O 0.4991 0.9934 0.3581
O10 O 0.6304 0.7279 0.1307
O11 O 0.6556 0.1876 0.1074
O12 O 0.8054 0.3859 0.6024
O13 O 0.8111 0.8543 0.6094
O14 O 0.9284 0.5752 0.3627
O15 O 0.9814 0.0317 0.7984
O16 O 0.9881 0.0137 0.3296
```

For MgFe4Co2O12, a structure optimized by DFT (GGA+U) gives the simulated X-ray powder pattern in this record (Cu Ka).
Intensities are scaled so that the largest is 100.

Largest 6 diffraction maxima, by intensity, 5 to 70 degrees two-theta:
- d = 3.451 Å, I 100
- d = 3.331 Å, I 91
- d = 2.488 Å, I 51
- d = 2.498 Å, I 27
- d = 2.473 Å, I 24
- d = 1.715 Å, I 23

Cell and atoms:
```
data_MgFe4Co2O12
_symmetry_space_group_name_H-M 'P 1'
_symmetry_Int_Tables_number 1
_cell_length_a 4.7577
_cell_length_b 4.8353
_cell_length_c 8.7261
_cell_angle_alpha 89.70
_cell_angle_beta 89.57
_cell_angle_gamma 87.97
loop_
_symmetry_equiv_pos_as_xyz
'x,y,z'
loop_
_atom_site_label
_atom_site_type_symbol
_atom_site_fract_x
_atom_site_fract_y
_atom_site_fract_z
Mg1 Mg 0.0000 0.0000 0.0000
Fe1 Fe 0.4943 0.0052 0.6675
Fe2 Fe 0.4993 0.0054 0.3337
Fe3 Fe 0.9830 0.4918 0.1760
Fe4 Fe 0.9990 0.5050 0.8254
Co1 Co 0.0259 0.5337 0.5007
Co2 Co 0.4987 0.0056 0.9998
O1 O 0.1981 0.3304 0.6596
O2 O 0.1981 0.3307 0.3428
O3 O 0.2134 0.3337 0.9993
O4 O 0.2790 0.8439 0.8398
O5 O 0.2883 0.8481 0.1559
O6 O 0.2913 0.8145 0.5024
O7 O 0.6846 0.1771 0.5045
O8 O 0.7107 0.1637 0.8433
O9 O 0.7217 0.1643 0.1593
O10 O 0.7782 0.6738 0.9999
O11 O 0.8042 0.6853 0.3442
O12 O 0.8048 0.6853 0.6597
```

For MgFe3Co5O16, a structure optimized by DFT (GGA+U) gives the simulated X-ray powder pattern in this record (Cu Ka).
Intensities are scaled so that the largest is 100.

Largest 6 diffraction maxima, by intensity, 5 to 70 degrees two-theta:
- d = 4.435 Å, I 100
- d = 4.360 Å, I 49
- d = 2.437 Å, I 43
- d = 2.418 Å, I 42
- d = 3.304 Å, I 41
- d = 2.484 Å, I 41

Cell and atoms:
```
data_MgFe3Co5O16
_symmetry_space_group_name_H-M 'P 1'
_symmetry_Int_Tables_number 1
_cell_length_a 5.7991
_cell_length_b 5.8787
_cell_length_c 8.8838
_cell_angle_alpha 88.28
_cell_angle_beta 89.96
_cell_angle_gamma 60.55
loop_
_symmetry_equiv_pos_as_xyz
'x,y,z'
loop_
_atom_site_label
_atom_site_type_symbol
_atom_site_fract_x
_atom_site_fract_y
_atom_site_fract_z
Mg1 Mg 0.0000 0.0000 0.0000
Fe1 Fe 0.0047 0.4972 0.1853
Fe2 Fe 0.5005 0.4969 0.1851
Fe3 Fe 0.8313 0.3395 0.6607
Co1 Co 0.0012 0.0008 0.4027
Co2 Co 0.3264 0.3484 0.8898
Co3 Co 0.3336 0.8364 0.6690
Co4 Co 0.5011 0.0001 0.1880
Co5 Co 0.8315 0.8368 0.6691
O1 O 0.0029 0.5071 0.7733
O2 O 0.0040 0.9937 0.7777
O3 O 0.1416 0.7184 0.5477
O4 O 0.1566 0.1300 0.5370
O5 O 0.1869 0.6274 0.0447
O6 O 0.1878 0.1935 0.0365
O7 O 0.3081 0.8513 0.2833
O8 O 0.3466 0.3072 0.2924
O9 O 0.4904 0.5058 0.7739
O10 O 0.5058 0.9901 0.7672
O11 O 0.6202 0.1932 0.0381
O12 O 0.6560 0.6919 0.0848
O13 O 0.6580 0.6859 0.5623
O14 O 0.7155 0.1305 0.5368
O15 O 0.8434 0.3161 0.2879
O16 O 0.8446 0.8516 0.2832
```

For MgFe4Co2O8, a structure optimized by DFT (GGA+U) gives the simulated X-ray powder pattern in this record (Cu Ka).
Intensities are scaled so that the largest is 100.

Largest 6 diffraction maxima, by intensity, 5 to 70 degrees two-theta:
- d = 2.612 Å, I 100
- d = 2.553 Å, I 72
- d = 2.172 Å, I 66
- d = 2.986 Å, I 58
- d = 2.600 Å, I 50
- d = 1.492 Å, I 48

Cell and atoms:
```
data_MgFe4Co2O8
_symmetry_space_group_name_H-M 'P 1'
_symmetry_Int_Tables_number 1
_cell_length_a 5.9671
_cell_length_b 5.9671
_cell_length_c 6.3444
_cell_angle_alpha 117.70
_cell_angle_beta 117.70
_cell_angle_gamma 60.18
loop_
_symmetry_equiv_pos_as_xyz
'x,y,z'
loop_
_atom_site_label
_atom_site_type_symbol
_atom_site_fract_x
_atom_site_fract_y
_atom_site_fract_z
Mg1 Mg 0.0000 0.0000 0.0000
Fe1 Fe 0.0000 0.5000 0.0000
Fe2 Fe 0.1505 0.1505 0.4606
Fe3 Fe 0.5000 0.0000 0.0000
Fe4 Fe 0.8495 0.8495 0.5394
Co1 Co 0.5000 0.5000 0.0000
Co2 Co 0.5000 0.5000 0.5000
O1 O 0.2367 0.7406 0.2322
O2 O 0.2408 0.2408 0.2300
O3 O 0.2594 0.7633 0.7678
O4 O 0.2686 0.2686 0.8161
O5 O 0.7314 0.7314 0.1839
O6 O 0.7406 0.2367 0.2322
O7 O 0.7592 0.7592 0.7700
O8 O 0.7633 0.2594 0.7678
```

For MgFe4Co2O8, a structure optimized by DFT (GGA+U) gives the simulated X-ray powder pattern in this record (Cu Ka).
Intensities are scaled so that the largest is 100.

Largest 6 diffraction maxima, by intensity, 5 to 70 degrees two-theta:
- d = 1.975 Å, I 100
- d = 2.192 Å, I 94
- d = 2.521 Å, I 88
- d = 2.544 Å, I 80
- d = 2.586 Å, I 75
- d = 1.731 Å, I 62

Cell and atoms:
```
data_MgFe4Co2O8
_symmetry_space_group_name_H-M 'P 1'
_symmetry_Int_Tables_number 1
_cell_length_a 5.8499
_cell_length_b 5.8499
_cell_length_c 6.6378
_cell_angle_alpha 122.88
_cell_angle_beta 122.88
_cell_angle_gamma 59.92
loop_
_symmetry_equiv_pos_as_xyz
'x,y,z'
loop_
_atom_site_label
_atom_site_type_symbol
_atom_site_fract_x
_atom_site_fract_y
_atom_site_fract_z
Mg1 Mg 0.0000 0.0000 0.0000
Fe1 Fe 0.0000 0.5000 0.0000
Fe2 Fe 0.2132 0.2132 0.4958
Fe3 Fe 0.5000 0.0000 0.0000
Fe4 Fe 0.7868 0.7868 0.5042
Co1 Co 0.5000 0.5000 0.0000
Co2 Co 0.5000 0.5000 0.5000
O1 O 0.2358 0.2358 0.8074
O2 O 0.2494 0.7267 0.7651
O3 O 0.2526 0.2526 0.2182
O4 O 0.2733 0.7506 0.2349
O5 O 0.7267 0.2494 0.7651
O6 O 0.7474 0.7474 0.7818
O7 O 0.7506 0.2733 0.2349
O8 O 0.7642 0.7642 0.1926
```

Please write out number 5 again, unchanged.
For MgFe4Co2O8, a structure optimized by DFT (GGA+U) gives the simulated X-ray powder pattern in this record (Cu Ka).
Intensities are scaled so that the largest is 100.

Largest 6 diffraction maxima, by intensity, 5 to 70 degrees two-theta:
- d = 2.612 Å, I 100
- d = 2.553 Å, I 72
- d = 2.172 Å, I 66
- d = 2.986 Å, I 58
- d = 2.600 Å, I 50
- d = 1.492 Å, I 48

Cell and atoms:
```
data_MgFe4Co2O8
_symmetry_space_group_name_H-M 'P 1'
_symmetry_Int_Tables_number 1
_cell_length_a 5.9671
_cell_length_b 5.9671
_cell_length_c 6.3444
_cell_angle_alpha 117.70
_cell_angle_beta 117.70
_cell_angle_gamma 60.18
loop_
_symmetry_equiv_pos_as_xyz
'x,y,z'
loop_
_atom_site_label
_atom_site_type_symbol
_atom_site_fract_x
_atom_site_fract_y
_atom_site_fract_z
Mg1 Mg 0.0000 0.0000 0.0000
Fe1 Fe 0.0000 0.5000 0.0000
Fe2 Fe 0.1505 0.1505 0.4606
Fe3 Fe 0.5000 0.0000 0.0000
Fe4 Fe 0.8495 0.8495 0.5394
Co1 Co 0.5000 0.5000 0.0000
Co2 Co 0.5000 0.5000 0.5000
O1 O 0.2367 0.7406 0.2322
O2 O 0.2408 0.2408 0.2300
O3 O 0.2594 0.7633 0.7678
O4 O 0.2686 0.2686 0.8161
O5 O 0.7314 0.7314 0.1839
O6 O 0.7406 0.2367 0.2322
O7 O 0.7592 0.7592 0.7700
O8 O 0.7633 0.2594 0.7678
```

What is the formula in the fifth record?
MgFe4Co2O8